Entry 1:
Calculated powder XRD pattern
Compound: SbI2F6
Radiation: Cu Kα (λ = 1.5418 Å)
Structure: a crystal structure in Alexandria, relaxed with GGA-PBE
No peak broadening, texture or thermal motion is included.

Unit cell a=6.168 b=8.233 c=8.412 alpha=77.67 beta=81.47 gamma=83.01
Element x y z (fractional)
Sb 0.058 0.201 0.188
Sb 0.942 0.799 0.812
I 0.394 0.258 0.568
I 0.401 0.585 0.267
I 0.599 0.415 0.733
I 0.606 0.742 0.432
F 0.075 0.695 0.004
F 0.091 0.634 0.693
F 0.179 0.937 0.732
F 0.203 0.105 0.382
F 0.225 0.036 0.081
F 0.297 0.344 0.119
F 0.703 0.656 0.881
F 0.775 0.964 0.919
F 0.797 0.895 0.618
F 0.821 0.063 0.268
F 0.909 0.366 0.307
F 0.925 0.305 0.996

Top 6 peaks for 15° ≤ 2θ ≤ 90°, by angle:
19.1 deg, I = 60
19.3 deg, I = 69
21.9 deg, I = 100
22.2 deg, I = 56
22.7 deg, I = 48
26.4 deg, I = 37


Entry 2:
Calculated powder XRD pattern
Compound: YSbI2F
Radiation: Cu Kα (λ = 1.5418 Å)
Structure: a crystal structure in Alexandria, relaxed with GGA-PBE
No peak broadening, texture or thermal motion is included.

Unit cell a=5.858 b=5.858 c=6.252 alpha=90.00 beta=90.00 gamma=90.00
Element x y z (fractional)
Y 0.000 0.000 0.000
Sb 0.000 0.000 0.500
I 0.000 0.500 0.000
I 0.500 0.000 0.000
F 0.500 0.500 0.500

Top 6 peaks for 15° ≤ 2θ ≤ 90°, by angle:
15.1 deg, I = 72
25.8 deg, I = 100
28.6 deg, I = 50
30.5 deg, I = 83
42.3 deg, I = 67
53.0 deg, I = 34


Entry 3:
Calculated powder XRD pattern
Compound: SeIF
Radiation: Cu Kα (λ = 1.5418 Å)
Structure: a crystal structure in Alexandria, relaxed with GGA-PBE
No peak broadening, texture or thermal motion is included.

Unit cell a=4.544 b=6.103 c=8.294 alpha=90.22 beta=105.71 gamma=111.62
Element x y z (fractional)
Se 0.000 0.000 0.000
Se 0.138 0.220 0.278
I 0.258 0.381 0.879
I 0.881 0.839 0.399
F 0.516 0.377 0.470
F 0.624 0.842 0.806

Top 6 peaks for 15° ≤ 2θ ≤ 90°, by angle:
20.4 deg, I = 35
21.6 deg, I = 100
22.4 deg, I = 52
27.7 deg, I = 39
33.9 deg, I = 35
36.9 deg, I = 26


Entry 4:
Calculated powder XRD pattern
Compound: Sm3I7F
Radiation: Cu Kα (λ = 1.5418 Å)
Structure: a crystal structure in Alexandria, relaxed with GGA-PBE
No peak broadening, texture or thermal motion is included.

Unit cell a=8.547 b=8.547 c=7.774 alpha=90.00 beta=90.00 gamma=120.00
Element x y z (fractional)
Sm 0.016 0.508 0.000
Sm 0.492 0.508 0.000
Sm 0.492 0.984 0.000
I 0.164 0.327 0.244
I 0.164 0.836 0.244
I 0.333 0.167 0.765
I 0.667 0.333 0.233
I 0.673 0.836 0.244
I 0.833 0.167 0.765
I 0.833 0.667 0.765
F 0.333 0.667 0.914

Top 6 peaks for 15° ≤ 2θ ≤ 90°, by angle:
26.7 deg, I = 100
33.4 deg, I = 58
42.3 deg, I = 34
42.6 deg, I = 30
50.7 deg, I = 16
64.9 deg, I = 17


Entry 5:
Calculated powder XRD pattern
Compound: SmIF
Radiation: Cu Kα (λ = 1.5418 Å)
Structure: a crystal structure in Alexandria, relaxed with GGA-PBE
No peak broadening, texture or thermal motion is included.

Unit cell a=4.140 b=4.140 c=4.841 alpha=90.00 beta=90.00 gamma=120.00
Element x y z (fractional)
Sm 0.000 0.000 0.000
I 0.667 0.333 0.435
F 0.333 0.667 0.914

Top 6 peaks for 15° ≤ 2θ ≤ 90°, by angle:
24.8 deg, I = 22
31.0 deg, I = 100
43.7 deg, I = 30
54.6 deg, I = 20
58.7 deg, I = 20
72.4 deg, I = 17


Entry 6:
Calculated powder XRD pattern
Compound: SnIF
Radiation: Cu Kα (λ = 1.5418 Å)
Structure: a crystal structure in Alexandria, relaxed with GGA-PBE
No peak broadening, texture or thermal motion is included.

Unit cell a=4.273 b=4.273 c=4.823 alpha=90.00 beta=90.00 gamma=120.00
Element x y z (fractional)
Sn 0.000 0.000 0.000
I 0.667 0.333 0.500
F 0.333 0.667 0.000

Top 6 peaks for 15° ≤ 2θ ≤ 90°, by angle:
24.1 deg, I = 21
30.4 deg, I = 100
42.3 deg, I = 31
53.0 deg, I = 21
57.6 deg, I = 25
70.0 deg, I = 19


Entry 7:
Calculated powder XRD pattern
Compound: Sn3IF5
Radiation: Cu Kα (λ = 1.5418 Å)
Structure: a crystal structure in Alexandria, relaxed with GGA-PBE
No peak broadening, texture or thermal motion is included.

Unit cell a=4.394 b=13.218 c=14.000 alpha=90.00 beta=107.96 gamma=90.00
Element x y z (fractional)
Sn 0.187 0.107 0.106
Sn 0.187 0.393 0.606
Sn 0.204 0.652 0.133
Sn 0.204 0.848 0.633
Sn 0.215 0.627 0.851
Sn 0.215 0.873 0.351
Sn 0.785 0.127 0.649
Sn 0.785 0.373 0.149
Sn 0.796 0.152 0.367
Sn 0.796 0.348 0.867
Sn 0.813 0.607 0.394
Sn 0.813 0.893 0.894
I 0.392 0.121 0.882
I 0.392 0.379 0.382
I 0.608 0.621 0.618
I 0.608 0.879 0.118
F 0.118 0.012 0.624
F 0.118 0.488 0.124
F 0.123 0.224 0.603
F 0.123 0.276 0.103
F 0.316 0.101 0.275
F 0.316 0.399 0.775
F 0.321 0.663 0.337
F 0.321 0.837 0.837
F 0.427 0.619 0.014
F 0.427 0.881 0.514
F 0.573 0.119 0.486
F 0.573 0.381 0.986
F 0.679 0.163 0.163
F 0.679 0.337 0.663
F 0.684 0.601 0.225
F 0.684 0.899 0.725
F 0.877 0.724 0.897
F 0.877 0.776 0.397
F 0.882 0.512 0.876
F 0.882 0.988 0.376

Top 6 peaks for 15° ≤ 2θ ≤ 90°, by angle:
24.3 deg, I = 39
26.8 deg, I = 82
27.0 deg, I = 80
27.8 deg, I = 88
27.9 deg, I = 100
48.2 deg, I = 40


Entry 8:
Calculated powder XRD pattern
Compound: SnI4F2
Radiation: Cu Kα (λ = 1.5418 Å)
Structure: a crystal structure in Alexandria, relaxed with GGA-PBE
No peak broadening, texture or thermal motion is included.

Unit cell a=8.535 b=8.535 c=8.535 alpha=139.07 beta=139.07 gamma=59.26
Element x y z (fractional)
Sn 0.000 0.000 0.000
I 0.000 0.500 0.500
I 0.208 0.208 0.000
I 0.500 0.000 0.500
I 0.792 0.792 0.000
F 0.344 0.344 0.000
F 0.656 0.656 0.000

Top 6 peaks for 15° ≤ 2θ ≤ 90°, by angle:
16.0 deg, I = 52
24.0 deg, I = 42
24.3 deg, I = 100
29.9 deg, I = 97
33.7 deg, I = 40
38.7 deg, I = 48